1.
# Sr2LuTaO6
Theoretical powder X-ray diffraction pattern, CuKα. Input: a structure optimized by DFT (GGA-PBE).
Lines closer than 0.1° are merged.

Most intense lines, 10° ≤ 2θ ≤ 90°, low angle first:
| Position (°2θ) | I (rel.) |
| --- | --- |
| 21.39 | 261 |
| 30.42 | 1000 |
| 30.50 | 200 |
| 43.58 | 352 |
| 49.07 | 95 |
| 54.01 | 241 |
| 54.16 | 246 |
| 63.35 | 146 |
| 71.96 | 107 |
| 88.11 | 132 |

Crystal structure
```
20
Lattice="5.891 0.000 0.000 0.000 8.298 0.000 0.000 0.000 5.863" Properties=species:S:1:pos:R:3 pbc="T T T"
Sr 0.096 2.059 0.000
Sr 2.849 6.208 2.931
Sr 3.041 2.091 2.931
Sr 5.795 6.240 0.000
Lu 0.000 0.000 2.937
Lu 2.945 4.149 0.005
Ta 0.000 4.149 2.939
Ta 2.945 0.000 0.007
O 0.062 6.140 2.840
O 1.365 4.171 4.393
O 1.470 4.091 1.590
O 1.475 8.240 4.521
O 1.581 0.022 1.462
O 2.884 1.991 5.771
O 3.007 6.308 5.771
O 4.310 8.276 1.462
O 4.416 0.058 4.521
O 4.421 4.207 1.590
O 4.526 4.127 4.393
O 5.829 2.158 2.840
```


2.
# La2MgSi4
Theoretical powder X-ray diffraction pattern, CuKα. Input: a structure optimized by DFT (GGA-PBE).
Lines closer than 0.1° are merged.

Most intense lines, 10° ≤ 2θ ≤ 90°, low angle first:
| Position (°2θ) | I (rel.) |
| --- | --- |
| 10.34 | 275 |
| 16.34 | 484 |
| 20.76 | 267 |
| 27.55 | 422 |
| 29.43 | 494 |
| 33.02 | 1000 |
| 33.42 | 254 |
| 40.39 | 237 |
| 41.40 | 428 |
| 70.21 | 217 |

Crystal structure
```
28
Lattice="-3.084 3.084 17.118 3.084 -3.084 17.118 3.084 3.084 -17.118" Properties=species:S:1:pos:R:3 pbc="T T T"
La 3.084 0.025 5.998
La 1.567 1.542 2.561
La 4.601 1.542 2.561
La 0.000 0.025 11.120
La 3.084 3.059 5.998
La -1.517 1.542 14.557
La 1.517 1.542 14.557
La 0.000 3.059 11.120
Mg 0.000 0.000 0.000
Mg 1.542 1.542 -8.559
Mg 1.542 -1.542 8.559
Mg 0.000 3.084 0.000
Si 1.633 1.542 -3.808
Si 4.535 1.542 -3.808
Si 0.000 0.091 4.751
Si 1.889 1.542 -1.438
Si 4.279 1.542 -1.438
Si 0.000 0.347 7.121
Si 3.084 0.347 9.997
Si 3.084 0.091 12.367
Si 0.000 2.993 4.751
Si 0.000 2.737 7.121
Si 3.084 2.737 9.997
Si -1.195 1.542 18.556
Si 1.195 1.542 18.556
Si 3.084 2.993 12.367
Si -1.451 1.542 20.926
Si 1.451 1.542 20.926
```


3.
# KLaCeHfO6
Theoretical powder X-ray diffraction pattern, CuKα. Input: a structure optimized by DFT (GGA-PBE).
Lines closer than 0.1° are merged.

Most intense lines, 10° ≤ 2θ ≤ 90°, low angle first:
| Position (°2θ) | I (rel.) |
| --- | --- |
| 14.68 | 137 |
| 29.61 | 521 |
| 29.79 | 1000 |
| 42.25 | 151 |
| 42.49 | 138 |
| 42.90 | 139 |
| 52.58 | 215 |
| 52.73 | 233 |
| 52.99 | 224 |
| 85.28 | 105 |

Crystal structure
```
40
Lattice="8.433 0.000 0.000 0.000 8.510 0.000 0.000 0.000 8.555" Properties=species:S:1:pos:R:3 pbc="T T T"
K 2.108 2.128 2.139
K 2.108 6.383 6.416
K 6.324 2.128 2.139
K 6.324 6.383 6.416
La 2.108 2.128 6.416
La 2.108 6.383 2.139
La 6.324 2.128 6.416
La 6.324 6.383 2.139
Ce 0.000 0.000 0.000
Ce 0.000 4.255 4.278
Ce 4.216 0.000 4.278
Ce 4.216 4.255 0.000
Hf 0.000 0.000 4.278
Hf 0.000 4.255 0.000
Hf 4.216 0.000 0.000
Hf 4.216 4.255 4.278
O 0.269 0.490 6.321
O 0.269 3.765 6.512
O 0.329 6.317 8.448
O 0.329 6.448 4.385
O 2.036 0.213 3.974
O 2.036 4.042 0.304
O 2.180 0.213 0.304
O 2.180 4.042 3.974
O 3.887 6.317 4.385
O 3.887 6.448 8.448
O 3.948 0.490 6.512
O 3.948 3.765 6.321
O 4.485 4.745 2.234
O 4.485 8.020 2.044
O 4.545 2.062 0.107
O 4.545 2.193 4.171
O 6.253 4.468 4.581
O 6.253 8.297 8.252
O 6.396 4.468 8.252
O 6.396 8.297 4.581
O 8.104 2.062 4.171
O 8.104 2.193 0.107
O 8.164 4.745 2.044
O 8.164 8.020 2.234
```